# MgMn6O4F8
Computed XRD peak list, Cu Kα (λ = 1.5418 Å). Input: DFT lattice parameters and positions (GGA+U).
Intensities are scaled so that the largest is 100.

Crystal structure
Cell: 5.3067 6.0307 8.0711 Å, 83.91 83.22 79.13°
Space group P1 (No. 1)
Asymmetric unit:
1 Mg 0.0000 0.0000 0.0000 (multiplicity 1)
2 Mn 0.0363 0.4159 0.1756 (multiplicity 1)
3 Mn 0.1300 0.0265 0.4775 (multiplicity 1)
4 Mn 0.4507 0.5068 0.4793 (multiplicity 1)
5 Mn 0.4925 0.1825 0.7866 (multiplicity 1)
6 Mn 0.5042 0.8588 0.1428 (multiplicity 1)
7 Mn 0.9280 0.6304 0.7811 (multiplicity 1)
8 O 0.1498 0.6944 0.5650 (multiplicity 1)
9 O 0.1752 0.0472 0.2079 (multiplicity 1)
10 O 0.3423 0.2318 0.5622 (multiplicity 1)
11 O 0.8436 0.7099 0.0485 (multiplicity 1)
12 F 0.1085 0.3147 0.9144 (multiplicity 1)
13 F 0.3562 0.5522 0.2134 (multiplicity 1)
14 F 0.3609 0.8768 0.9108 (multiplicity 1)
15 F 0.5900 0.7928 0.3816 (multiplicity 1)
16 F 0.6243 0.4936 0.7249 (multiplicity 1)
17 F 0.6400 0.1577 0.0438 (multiplicity 1)
18 F 0.8109 0.3349 0.3987 (multiplicity 1)
19 F 0.8818 0.0079 0.7586 (multiplicity 1)

Main lines, sorted by position (2θ = 15–90°):
- hkl 1 1 1, 22.0 deg, rel. 100
- hkl -1 1 1, 27.4 deg, rel. 73
- hkl 0 2 -1, 33.3 deg, rel. 48
- hkl 0 0 3, 33.7 deg, rel. 37
- hkl 1 0 3, 36.3 deg, rel. 24
- hkl 1 3 0, 46.4 deg, rel. 32
- hkl 1 1 4, 47.3 deg, rel. 23
- hkl 2 3 3, 59.7 deg, rel. 23